Starting from a cell relaxed with PBE, the powder XRD pattern of Mn4Ga2H was calculated for CuKα.
Kinematic intensities with the Lorentz-polarization factor, no thermal factor.

The 10 most intense peaks (2θ = 10–80°), low angle first:
2θ (°)  I_rel
35.34  25
38.05  72
41.79  33
43.01  14
45.36  100
50.84  53
55.84  9
67.85  28
68.73  7
74.75  15

```
data_Mn4Ga2H
_chemical_formula_sum 'Mn8 Ga4 H2'
_cell_length_a 3.5919
_cell_length_b 3.5919
_cell_length_c 12.9695
_cell_angle_alpha 90.00
_cell_angle_beta 90.00
_cell_angle_gamma 90.00
_symmetry_space_group_name_H-M 'I 4/m m m'
_symmetry_Int_Tables_number 139
_symmetry_space_group_name_Hall '-I 4 2'
loop_
_atom_site_label
_atom_site_fract_x
_atom_site_fract_y
_atom_site_fract_z
_atom_site_occupancy
Mn1 0.0000 0.0000 0.1675 1
Mn2 0.0000 0.5000 0.0000 1
Ga1 0.0000 0.0000 0.3596 1
H1 0.0000 0.0000 0.0000 1
```